No. 1
The following is a computed X-ray diffraction stick pattern of B5C7. It was derived from a crystal structure in Alexandria, relaxed with PBE, using Cu Kα.
Peak positions follow from Bragg's law for the DFT cell and can differ from measured ones.

a b c (Å): 8.7449 2.6102 7.7090
angles (deg): 90.00 113.89 90.00
Space group Cm (No. 8)
Inequivalent atoms, fractional coordinates:
B: 0.0000 0.0000 0.0000 [2 per cell]
B: 0.0147 0.5000 0.3899 [2 per cell]
B: 0.0530 0.0000 0.5622 [2 per cell]
B: 0.2336 0.0000 0.2944 [2 per cell]
B: 0.3444 0.5000 0.5875 [2 per cell]
C: 0.0338 0.5000 0.9084 [2 per cell]
C: 0.1975 0.5000 0.3800 [2 per cell]
C: 0.1970 0.5000 0.8755 [2 per cell]
C: 0.2036 0.0000 0.7618 [2 per cell]
C: 0.3514 0.0000 0.1850 [2 per cell]
C: 0.3540 0.5000 0.0744 [2 per cell]
C: 0.3696 0.0000 0.7220 [2 per cell]

Peak list (10 most intense, 2θ = 15–90°, low angle first)
Position (°2θ)	Rel. int.
22.2	12
40.4	55
41.8	100
42.0	52
69.2	22
70.7	10
71.4	28
72.4	14
84.0	8
87.4	9


No. 2
The following is a computed X-ray diffraction stick pattern of B5C7. It was derived from a crystal structure in Alexandria, relaxed with PBE, using Cu Kα.
Peak positions follow from Bragg's law for the DFT cell and can differ from measured ones.

a b c (Å): 2.4603 7.8155 4.0936
angles (deg): 90.00 90.00 90.00
Space group Pmm2 (No. 25)
Inequivalent atoms, fractional coordinates:
B: 0.0000 0.0000 0.0000 [1 per cell]
B: 0.0000 0.3279 0.9645 [2 per cell]
B: 0.5000 0.3336 0.2925 [2 per cell]
C: 0.0000 0.1631 0.7289 [2 per cell]
C: 0.0000 0.5000 0.7282 [1 per cell]
C: 0.5000 0.0000 0.2874 [1 per cell]
C: 0.5000 0.1576 0.5136 [2 per cell]
C: 0.5000 0.5000 0.5221 [1 per cell]

Peak list (10 most intense, 2θ = 15–90°, low angle first)
Position (°2θ)	Rel. int.
21.7	35
41.1	100
42.9	94
57.2	6
69.8	52
72.6	13
77.6	11
79.3	9
80.5	6
88.2	17


No. 3
The following is a computed X-ray diffraction stick pattern of B3C7. It was derived from a crystal structure in Alexandria, relaxed with PBE, using Cu Kα.
Peak positions follow from Bragg's law for the DFT cell and can differ from measured ones.

a b c (Å): 2.4703 12.9726 3.9282
angles (deg): 90.00 90.00 90.00
Space group Imm2 (No. 44)
Inequivalent atoms, fractional coordinates:
B: 0.0000 0.0000 0.0000 [2 per cell]
B: 0.0000 0.1981 0.0009 [4 per cell]
C: 0.0000 0.0992 0.7454 [4 per cell]
C: 0.0000 0.3045 0.7894 [4 per cell]
C: 0.0000 0.4013 0.0155 [4 per cell]
C: 0.0000 0.5000 0.7900 [2 per cell]

Peak list (10 most intense, 2θ = 15–90°, low angle first)
Position (°2θ)	Rel. int.
23.7	12
27.5	2
41.7	96
43.3	100
71.3	53
72.9	13
77.2	11
82.5	11
83.6	6
88.7	17


No. 4
The following is a computed X-ray diffraction stick pattern of B5C7. It was derived from a crystal structure in Alexandria, relaxed with PBE, using Cu Kα.
Peak positions follow from Bragg's law for the DFT cell and can differ from measured ones.

a b c (Å): 2.5862 2.5862 13.5184
angles (deg): 90.00 90.00 120.00
Space group P3m1 (No. 156)
Inequivalent atoms, fractional coordinates:
B: 0.0000 0.0000 0.0000 [1 per cell]
B: 0.0000 0.0000 0.3738 [1 per cell]
B: 0.3333 0.6667 0.1645 [1 per cell]
B: 0.3333 0.6667 0.6486 [1 per cell]
B: 0.6667 0.3333 0.7243 [1 per cell]
C: 0.0000 0.0000 0.4938 [1 per cell]
C: 0.0000 0.0000 0.8775 [1 per cell]
C: 0.3333 0.6667 0.0476 [1 per cell]
C: 0.3333 0.6667 0.5310 [1 per cell]
C: 0.6667 0.3333 0.2172 [1 per cell]
C: 0.6667 0.3333 0.3223 [1 per cell]
C: 0.6667 0.3333 0.8422 [1 per cell]

Peak list (10 most intense, 2θ = 15–90°, low angle first)
Position (°2θ)	Rel. int.
19.7	6
26.4	3
33.1	2
40.0	25
42.5	100
69.7	23
73.2	24
83.5	10
86.8	10
88.5	9


No. 5
The following is a computed X-ray diffraction stick pattern of B5C7. It was derived from a crystal structure in Alexandria, relaxed with PBE, using Cu Kα.
Peak positions follow from Bragg's law for the DFT cell and can differ from measured ones.

a b c (Å): 12.6381 2.5822 4.9789
angles (deg): 90.00 102.52 90.00
Space group Cm (No. 8)
Inequivalent atoms, fractional coordinates:
B: 0.0000 0.0000 0.0000 [2 per cell]
B: 0.0290 0.0000 0.4295 [2 per cell]
B: 0.1021 0.5000 0.0417 [2 per cell]
B: 0.1891 0.5000 0.7986 [2 per cell]
B: 0.4094 0.5000 0.6885 [2 per cell]
C: 0.1022 0.5000 0.5013 [2 per cell]
C: 0.1934 0.5000 0.3200 [2 per cell]
C: 0.2630 0.0000 0.3575 [2 per cell]
C: 0.2698 0.0000 0.8607 [2 per cell]
C: 0.3372 0.0000 0.6418 [2 per cell]
C: 0.3408 0.0000 0.1550 [2 per cell]
C: 0.4118 0.5000 0.2056 [2 per cell]

Peak list (10 most intense, 2θ = 15–90°, low angle first)
Position (°2θ)	Rel. int.
18.3	16
20.7	10
41.3	100
42.0	53
42.9	45
69.0	21
70.2	28
73.3	14
76.6	9
79.1	11


No. 6
The following is a computed X-ray diffraction stick pattern of B5C7. It was derived from a crystal structure in Alexandria, relaxed with PBE, using Cu Kα.
Peak positions follow from Bragg's law for the DFT cell and can differ from measured ones.

a b c (Å): 10.9475 2.6013 5.4769
angles (deg): 90.00 99.11 90.00
Space group Cm (No. 8)
Inequivalent atoms, fractional coordinates:
B: 0.0000 0.0000 0.0000 [2 per cell]
B: 0.0498 0.0000 0.7195 [2 per cell]
B: 0.1158 0.5000 0.8969 [2 per cell]
B: 0.2111 0.5000 0.6134 [2 per cell]
B: 0.3723 0.0000 0.9289 [2 per cell]
C: 0.0534 0.0000 0.2886 [2 per cell]
C: 0.1332 0.5000 0.3378 [2 per cell]
C: 0.2185 0.5000 0.1407 [2 per cell]
C: 0.2975 0.0000 0.6551 [2 per cell]
C: 0.2999 0.0000 0.1681 [2 per cell]
C: 0.3778 0.0000 0.4379 [2 per cell]
C: 0.4596 0.5000 0.4677 [2 per cell]

Peak list (10 most intense, 2θ = 15–90°, low angle first)
Position (°2θ)	Rel. int.
16.4	32
39.6	44
42.9	100
43.4	44
68.9	10
69.9	25
72.7	14
75.3	17
82.1	10
88.7	8


No. 7
The following is a computed X-ray diffraction stick pattern of B5C7. It was derived from a crystal structure in Alexandria, relaxed with PBE, using Cu Kα.
Peak positions follow from Bragg's law for the DFT cell and can differ from measured ones.

a b c (Å): 14.0082 2.6472 4.5925
angles (deg): 90.00 108.48 90.00
Space group Cm (No. 8)
Inequivalent atoms, fractional coordinates:
B: 0.0000 0.0000 0.0000 [2 per cell]
B: 0.0010 0.5000 0.5092 [2 per cell]
B: 0.1353 0.0000 0.7992 [2 per cell]
B: 0.1723 0.5000 0.3458 [2 per cell]
B: 0.3164 0.0000 0.9906 [2 per cell]
C: 0.1221 0.0000 0.1232 [2 per cell]
C: 0.1222 0.5000 0.6213 [2 per cell]
C: 0.2948 0.5000 0.4691 [2 per cell]
C: 0.3348 0.0000 0.6642 [2 per cell]
C: 0.3375 0.5000 0.1942 [2 per cell]
C: 0.4483 0.0000 0.7886 [2 per cell]
C: 0.4501 0.5000 0.2888 [2 per cell]

Peak list (10 most intense, 2θ = 15–90°, low angle first)
Position (°2θ)	Rel. int.
26.8	14
40.7	49
41.6	100
41.8	51
69.7	21
70.3	11
71.2	41
85.5	8
85.8	8
86.1	9


No. 8
The following is a computed X-ray diffraction stick pattern of BC4. It was derived from a crystal structure in Alexandria, relaxed with PBE, using Cu Kα.
Peak positions follow from Bragg's law for the DFT cell and can differ from measured ones.

a b c (Å): 2.5518 2.5518 32.4173
angles (deg): 90.00 90.00 120.00
Space group R3m (No. 160, hexagonal axes)
Inequivalent atoms, fractional coordinates:
B: 0.0000 0.0000 0.0000 [3 per cell]
B: 0.0000 0.0000 0.4049 [3 per cell]
C: 0.0000 0.0000 0.0485 [3 per cell]
C: 0.0000 0.0000 0.2006 [3 per cell]
C: 0.0000 0.0000 0.2483 [3 per cell]
C: 0.0000 0.0000 0.4545 [3 per cell]
C: 0.0000 0.0000 0.5982 [3 per cell]
C: 0.0000 0.0000 0.6443 [3 per cell]
C: 0.0000 0.0000 0.8035 [3 per cell]
C: 0.0000 0.0000 0.8516 [3 per cell]

Peak list (10 most intense, 2θ = 15–90°, low angle first)
Position (°2θ)	Rel. int.
41.8	28
43.3	100
50.7	2
64.5	1
72.3	23
74.3	25
77.9	1
80.9	2
87.2	9
89.1	12